Entry 1:
Diffraction record for TlIn2S4. The powder X-ray diffraction pattern is theoretical, not measured: it uses a structure optimized by DFT (GGA-PBE) and Cu Kα (λ = 1.5418 Å).
Lines closer than 0.1° are merged.

Principal peaks in the range 10 to 90 degrees two-theta, in order of rising 2θ:
index	2θ (°)	d_spacing	I/Imax
0 1 1	13.4	6.600	340
1 1 2	22.3	3.981	253
1 2 1	26.0	3.432	486
0 1 3	26.1	3.416	440
1 0 3	26.3	3.386	265
2 1 1	26.7	3.344	1000
2 2 0	31.9	2.807	424
0 1 5	41.4	2.179	493
0 4 0	44.5	2.034	239
2 2 4	45.6	1.990	850

Crystal structure
```
data_TlIn2S4
_space_group_name_H-M_alt 'I m m a'
_space_group_IT_number 74
_space_group_name_Hall '-I 2b 2'
_cell_length_a 7.757
_cell_length_b 8.136
_cell_length_c 11.290
_cell_angle_alpha 90.00
_cell_angle_beta 90.00
_cell_angle_gamma 90.00
loop_
_atom_site_label
_atom_site_type_symbol
_atom_site_fract_x
_atom_site_fract_y
_atom_site_fract_z
Tl1 Tl 0.250 0.250 0.250
In1 In 0.000 0.000 0.000
In2 In 0.000 0.250 0.639
S1 S 0.000 0.002 0.234
S2 S 0.233 0.250 0.998
```

***

Entry 2:
Diffraction record for U2In2S7. The powder X-ray diffraction pattern is theoretical, not measured: it uses a structure optimized by DFT (GGA-PBE) and Cu Kα (λ = 1.5418 Å).
Lines closer than 0.1° are merged.

Principal peaks in the range 10 to 90 degrees two-theta, in order of rising 2θ:
index	2θ (°)	d_spacing	I/Imax
0 2 0	11.9	7.414	411
0 4 0	24.0	3.707	516
0 2 2	24.8	3.596	958
1 0 1	25.4	3.505	648
1 2 1	28.2	3.169	602
1 4 1	35.2	2.547	1000
1 2 3	42.2	2.142	558
0 6 2	42.7	2.118	277
1 6 1	44.9	2.020	286
2 2 2	53.8	1.705	279

Crystal structure
```
data_U2In2S7
_space_group_name_H-M_alt 'I m m 2'
_space_group_IT_number 44
_space_group_name_Hall 'I 2 -2'
_cell_length_a 3.874
_cell_length_b 14.827
_cell_length_c 8.224
_cell_angle_alpha 90.00
_cell_angle_beta 90.00
_cell_angle_gamma 90.00
loop_
_atom_site_label
_atom_site_type_symbol
_atom_site_fract_x
_atom_site_fract_y
_atom_site_fract_z
U1 U 0.000 0.000 0.000
U2 U 0.000 0.500 0.058
In1 In 0.000 0.270 0.818
S1 S 0.000 0.119 0.509
S2 S 0.000 0.188 0.111
S3 S 0.000 0.398 0.339
S4 S 0.000 0.500 0.724
```

***

Entry 3:
Diffraction record for U3In2S8. The powder X-ray diffraction pattern is theoretical, not measured: it uses a structure optimized by DFT (GGA-PBE) and Cu Kα (λ = 1.5418 Å).
Lines closer than 0.1° are merged.

Principal peaks in the range 10 to 90 degrees two-theta, in order of rising 2θ:
index	2θ (°)	d_spacing	I/Imax
2 0 0	13.8	6.410	969
2 0 -1	18.7	4.744	345
2 0 1	19.0	4.675	327
0 2 1	25.4	3.505	1000
0 0 2	25.7	3.470	532
2 2 -1	28.9	3.085	608
4 2 -1	37.9	2.374	819
4 2 1	38.2	2.356	465
4 0 2	38.5	2.337	324
0 2 3	45.1	2.010	484

Crystal structure
```
data_U3In2S8
_space_group_name_H-M_alt 'C 1 2/m 1'
_space_group_IT_number 12
_space_group_name_Hall '-C 2y'
_cell_length_a 12.822
_cell_length_b 8.121
_cell_length_c 6.941
_cell_angle_alpha 90.00
_cell_angle_beta 90.85
_cell_angle_gamma 90.00
loop_
_atom_site_label
_atom_site_type_symbol
_atom_site_fract_x
_atom_site_fract_y
_atom_site_fract_z
U1 U 0.000 0.000 0.000
U2 U 0.000 0.254 0.500
In1 In 0.213 0.500 0.019
S1 S 0.104 0.000 0.338
S2 S 0.107 0.235 0.827
S3 S 0.113 0.500 0.373
```

***

Entry 4:
Diffraction record for V3InS6. The powder X-ray diffraction pattern is theoretical, not measured: it uses a structure optimized by DFT (GGA-PBE) and Cu Kα (λ = 1.5418 Å).
Lines closer than 0.1° are merged.

Principal peaks in the range 10 to 90 degrees two-theta, in order of rising 2θ:
index	2θ (°)	d_spacing	I/Imax
0 0 2	26.4	3.370	204
2 2 1	28.4	3.145	1000
2 0 2	33.2	2.697	224
3 1 1	33.6	2.667	372
2 2 2	36.7	2.446	179
4 0 0	40.1	2.249	200
2 4 2	45.9	1.976	342
1 3 3	47.9	1.899	348
4 0 2	48.7	1.871	323
3 5 0	49.7	1.836	250

Crystal structure
```
data_V3InS6
_space_group_name_H-M_alt 'C m c 21'
_space_group_IT_number 36
_space_group_name_Hall 'C 2c -2'
_cell_length_a 8.997
_cell_length_b 11.612
_cell_length_c 6.741
_cell_angle_alpha 90.00
_cell_angle_beta 90.00
_cell_angle_gamma 90.00
loop_
_atom_site_label
_atom_site_type_symbol
_atom_site_fract_x
_atom_site_fract_y
_atom_site_fract_z
V1 V 0.000 0.086 0.000
V2 V 0.210 0.381 0.937
In1 In 0.000 0.276 0.447
S1 S 0.000 0.273 0.830
S2 S 0.000 0.499 0.468
S3 S 0.169 0.028 0.725
S4 S 0.185 0.215 0.149
```

***

Entry 5:
Diffraction record for Y7InS5. The powder X-ray diffraction pattern is theoretical, not measured: it uses a structure optimized by DFT (GGA-PBE) and Cu Kα (λ = 1.5418 Å).
Lines closer than 0.1° are merged.

Principal peaks in the range 10 to 90 degrees two-theta, in order of rising 2θ:
index	2θ (°)	d_spacing	I/Imax
1 4 0	28.1	3.173	249
0 7 1	29.8	2.994	819
1 5 0	30.4	2.943	350
1 2 -2	31.5	2.836	1000
1 3 1	32.7	2.738	597
0 8 1	33.3	2.687	200
1 9 0	42.0	2.149	248
0 5 3	45.8	1.980	415
2 0 -1	46.2	1.966	320
2 7 -2	56.0	1.643	265

Crystal structure
```
data_Y7InS5
_space_group_name_H-M_alt 'P 1 21/m 1'
_space_group_IT_number 11
_space_group_name_Hall '-P 2yb'
_cell_length_a 3.932
_cell_length_b 23.567
_cell_length_c 6.836
_cell_angle_alpha 90.00
_cell_angle_beta 106.67
_cell_angle_gamma 90.00
loop_
_atom_site_label
_atom_site_type_symbol
_atom_site_fract_x
_atom_site_fract_y
_atom_site_fract_z
Y1 Y 0.014 0.250 0.029
Y2 Y 0.136 0.535 0.273
Y3 Y 0.324 0.172 0.649
Y4 Y 0.407 0.611 0.813
In1 In 0.301 0.750 0.604
S1 S 0.044 0.639 0.088
S2 S 0.226 0.070 0.453
S3 S 0.500 0.000 0.000
```

***

Entry 6:
Diffraction record for YbIn2S4. The powder X-ray diffraction pattern is theoretical, not measured: it uses a structure optimized by DFT (GGA-PBE) and Cu Kα (λ = 1.5418 Å).
Lines closer than 0.1° are merged.

Principal peaks in the range 10 to 90 degrees two-theta, in order of rising 2θ:
index	2θ (°)	d_spacing	I/Imax
1 1 0	16.0	5.535	341
1 1 2	23.7	3.755	607
0 2 2	24.7	3.599	550
2 0 0	27.0	3.303	201
1 3 0	29.7	3.008	419
0 0 4	35.1	2.556	289
0 4 0	35.4	2.534	187
2 2 2	36.9	2.433	1000
1 3 4	46.6	1.948	240
1 5 2	50.4	1.812	283

Crystal structure
```
data_YbIn2S4
_space_group_name_H-M_alt 'C c c m'
_space_group_IT_number 66
_space_group_name_Hall '-C 2 2c'
_cell_length_a 6.607
_cell_length_b 10.134
_cell_length_c 10.223
_cell_angle_alpha 90.00
_cell_angle_beta 90.00
_cell_angle_gamma 90.00
loop_
_atom_site_label
_atom_site_type_symbol
_atom_site_fract_x
_atom_site_fract_y
_atom_site_fract_z
Yb1 Yb 0.000 0.000 0.250
In1 In 0.004 0.285 0.000
S1 S 0.208 0.068 0.500
S2 S 0.250 0.250 0.185
```

***

Entry 7:
Diffraction record for Zn2In2S5. The powder X-ray diffraction pattern is theoretical, not measured: it uses a structure optimized by DFT (GGA-PBE) and Cu Kα (λ = 1.5418 Å).
Lines closer than 0.1° are merged.

Principal peaks in the range 10 to 90 degrees two-theta, in order of rising 2θ:
index	2θ (°)	d_spacing	I/Imax
0 0 6	11.5	7.714	209
0 0 12	23.1	3.857	661
1 0 1	26.3	3.386	305
0 1 2	26.5	3.359	336
0 1 5	28.0	3.187	1000
1 0 10	32.7	2.737	419
0 1 17	42.6	2.124	473
1 1 0	46.3	1.960	703
1 0 22	51.1	1.788	346
1 1 12	52.4	1.747	411

Crystal structure
```
data_Zn2In2S5
_space_group_name_H-M_alt 'R 3 m'
_space_group_IT_number 160
_space_group_name_Hall 'R 3 -2"'
_cell_length_a 3.9199
_cell_length_b 3.9199
_cell_length_c 46.2841
_cell_angle_alpha 90.00
_cell_angle_beta 90.00
_cell_angle_gamma 120.00
loop_
_atom_site_label
_atom_site_type_symbol
_atom_site_fract_x
_atom_site_fract_y
_atom_site_fract_z
Zn1 Zn 0.0000 0.0000 0.0000
Zn2 Zn 0.0000 0.0000 0.1701
In1 In 0.0000 0.0000 0.5844
In2 In 0.0000 0.0000 0.7634
S1 S 0.0000 0.0000 0.0744
S2 S 0.0000 0.0000 0.2188
S3 S 0.0000 0.0000 0.6803
S4 S 0.0000 0.0000 0.8179
S5 S 0.0000 0.0000 0.9457
```

***

Entry 8:
Diffraction record for Zn4InS6. The powder X-ray diffraction pattern is theoretical, not measured: it uses a structure optimized by DFT (GGA-PBE) and Cu Kα (λ = 1.5418 Å).
Lines closer than 0.1° are merged.

Principal peaks in the range 10 to 90 degrees two-theta, in order of rising 2θ:
index	2θ (°)	d_spacing	I/Imax
0 0 5	24.4	3.653	562
0 1 1	27.3	3.272	418
0 1 2	28.6	3.125	1000
1 0 3	30.6	2.919	203
1 0 4	33.3	2.689	309
0 1 6	40.2	2.246	316
0 1 7	44.1	2.053	367
1 1 0	47.3	1.920	670
1 0 9	52.8	1.732	303
1 1 5	53.9	1.700	365

Crystal structure
```
data_Zn4InS6
_space_group_name_H-M_alt 'P -3 m 1'
_space_group_IT_number 164
_space_group_name_Hall '-P 3 2"'
_cell_length_a 3.8409
_cell_length_b 3.8409
_cell_length_c 18.2643
_cell_angle_alpha 90.00
_cell_angle_beta 90.00
_cell_angle_gamma 120.00
loop_
_atom_site_label
_atom_site_type_symbol
_atom_site_fract_x
_atom_site_fract_y
_atom_site_fract_z
Zn1 Zn 0.3333 0.6667 0.1188
Zn2 Zn 0.3333 0.6667 0.7068
In1 In 0.0000 0.0000 0.5000
S1 S 0.3333 0.6667 0.2506
S2 S 0.3333 0.6667 0.5778
S3 S 0.3333 0.6667 0.9209
```

***

Entry 9:
Diffraction record for Zn2In2S5. The powder X-ray diffraction pattern is theoretical, not measured: it uses a structure optimized by DFT (GGA-PBE) and Cu Kα (λ = 1.5418 Å).
Lines closer than 0.1° are merged.

Principal peaks in the range 10 to 90 degrees two-theta, in order of rising 2θ:
index	2θ (°)	d_spacing	I/Imax
0 0 8	23.1	3.853	921
1 0 2	26.9	3.313	883
1 0 3	27.7	3.222	1000
1 0 4	28.8	3.105	484
1 0 6	31.6	2.831	559
1 0 10	39.5	2.282	448
1 0 11	41.8	2.161	355
1 1 0	46.4	1.959	982
1 0 15	52.0	1.758	340
1 1 8	52.4	1.746	573

Crystal structure
```
data_Zn2In2S5
_space_group_name_H-M_alt 'P 63 m c'
_space_group_IT_number 186
_space_group_name_Hall 'P 6c -2c'
_cell_length_a 3.9177
_cell_length_b 3.9177
_cell_length_c 30.8261
_cell_angle_alpha 90.00
_cell_angle_beta 90.00
_cell_angle_gamma 120.00
loop_
_atom_site_label
_atom_site_type_symbol
_atom_site_fract_x
_atom_site_fract_y
_atom_site_fract_z
Zn1 Zn 0.3333 0.6667 0.0000
Zn2 Zn 0.3333 0.6667 0.2551
In1 In 0.0000 0.0000 0.3784
In2 In 0.3333 0.6667 0.6100
S1 S 0.3333 0.6667 0.1437
S2 S 0.3333 0.6667 0.3363
S3 S 0.3333 0.6667 0.5283
S4 S 0.3333 0.6667 0.7346
S5 S 0.3333 0.6667 0.9269
```

***

Entry 10:
Diffraction record for Zr3In2S6. The powder X-ray diffraction pattern is theoretical, not measured: it uses a structure optimized by DFT (GGA-PBE) and Cu Kα (λ = 1.5418 Å).
Lines closer than 0.1° are merged.

Principal peaks in the range 10 to 90 degrees two-theta, in order of rising 2θ:
index	2θ (°)	d_spacing	I/Imax
0 0 1	11.5	7.694	113
0 0 2	23.1	3.847	190
2 0 0	29.4	3.036	263
1 3 1	32.4	2.762	1000
2 0 2	42.5	2.126	408
0 6 0	50.2	1.816	301
3 3 1	56.0	1.643	108
4 0 0	61.1	1.518	148
3 3 3	71.4	1.321	131
4 6 0	82.9	1.165	124

Crystal structure
```
data_Zr3In2S6
_space_group_name_H-M_alt 'C 1 2/m 1'
_space_group_IT_number 12
_space_group_name_Hall '-C 2y'
_cell_length_a 6.292
_cell_length_b 10.901
_cell_length_c 7.976
_cell_angle_alpha 90.00
_cell_angle_beta 105.29
_cell_angle_gamma 90.00
loop_
_atom_site_label
_atom_site_type_symbol
_atom_site_fract_x
_atom_site_fract_y
_atom_site_fract_z
Zr1 Zr 0.000 0.000 0.000
Zr2 Zr 0.000 0.333 0.000
In1 In 0.000 0.166 0.500
S1 S 0.233 0.168 0.201
S2 S 0.236 0.500 0.202
```

***

Entry 11:
Diffraction record for In5Sb3. The powder X-ray diffraction pattern is theoretical, not measured: it uses a structure optimized by DFT (GGA-PBE) and Cu Kα (λ = 1.5418 Å).
Lines closer than 0.1° are merged.

Principal peaks in the range 10 to 90 degrees two-theta, in order of rising 2θ:
index	2θ (°)	d_spacing	I/Imax
2 2 0	30.3	2.953	80
2 1 3	31.9	2.804	1000
3 1 0	33.9	2.641	514
0 0 6	42.6	2.123	79
3 2 3	44.6	2.033	100
4 2 0	48.8	1.867	76
4 1 3	49.9	1.828	89
3 1 6	55.5	1.655	87
5 2 3	63.9	1.457	187
2 1 9	71.2	1.324	76

Crystal structure
```
data_In5Sb3
_space_group_name_H-M_alt 'I 4/m c m'
_space_group_IT_number 140
_space_group_name_Hall '-I 4 2c'
_cell_length_a 8.351
_cell_length_b 8.351
_cell_length_c 12.741
_cell_angle_alpha 90.00
_cell_angle_beta 90.00
_cell_angle_gamma 90.00
loop_
_atom_site_label
_atom_site_type_symbol
_atom_site_fract_x
_atom_site_fract_y
_atom_site_fract_z
In1 In 0.000 0.000 0.000
In2 In 0.146 0.354 0.158
Sb1 Sb 0.000 0.000 0.250
Sb2 Sb 0.155 0.345 0.500
```

***

Entry 12:
Diffraction record for In5Sb3. The powder X-ray diffraction pattern is theoretical, not measured: it uses a structure optimized by DFT (GGA-PBE) and Cu Kα (λ = 1.5418 Å).
Lines closer than 0.1° are merged.

Principal peaks in the range 10 to 90 degrees two-theta, in order of rising 2θ:
index	2θ (°)	d_spacing	I/Imax
2 0 -1	29.0	3.082	299
1 5 0	30.0	2.974	423
1 5 -1	30.2	2.964	386
2 2 0	32.5	2.757	364
2 2 -2	32.6	2.746	390
0 2 3	32.8	2.732	1000
1 5 1	33.5	2.676	631
1 3 -3	33.6	2.665	633
2 4 -1	35.8	2.508	287
1 7 -2	42.5	2.126	200

Crystal structure
```
data_In5Sb3
_space_group_name_H-M_alt 'C 1 2/m 1'
_space_group_IT_number 12
_space_group_name_Hall '-C 2y'
_cell_length_a 6.164
_cell_length_b 17.268
_cell_length_c 9.155
_cell_angle_alpha 90.00
_cell_angle_beta 109.26
_cell_angle_gamma 90.00
loop_
_atom_site_label
_atom_site_type_symbol
_atom_site_fract_x
_atom_site_fract_y
_atom_site_fract_z
In1 In 0.097 0.178 0.192
In2 In 0.176 0.404 0.356
In3 In 0.249 0.000 0.001
Sb1 Sb 0.000 0.249 0.500
Sb2 Sb 0.000 0.344 0.000
Sb3 Sb 0.154 0.000 0.317
```